1.
Diffraction record for Fe2CoSe4. The powder diffractogram is computed, not measured: it uses a DFT-relaxed cell (GGA-PBE, the Materials Project) and Cu Ka.
Intensities are scaled so that the largest is 100.

Atomic structure:
```
data_Fe2CoSe4
_cell_length_a 4.6714
_cell_length_b 5.0617
_cell_length_c 5.8969
_cell_angle_alpha 65.42
_cell_angle_beta 67.30
_cell_angle_gamma 89.41
_space_group_name_H-M_alt 'P 1'
_space_group_IT_number 1
loop_
_space_group_symop_operation_xyz
'x,y,z'
loop_
_atom_site_label
_atom_site_type_symbol
_atom_site_fract_x
_atom_site_fract_y
_atom_site_fract_z
Fe1 Fe 0.0000 0.0000 0.0000
Fe2 Fe 0.2531 0.8082 0.3869
Co1 Co 0.7760 0.1418 0.4115
Se1 Se 0.0128 0.4867 0.9318
Se2 Se 0.2398 0.2139 0.4856
Se3 Se 0.5325 0.9076 0.9293
Se4 Se 0.7334 0.6503 0.4666
```

Main lines, sorted by position (10 to 90 degrees two-theta):
32.0°, 2.796 Å, I = 37, (1 -1 1); 35.5°, 2.530 Å, I = 78, (0 2 1); 36.9°, 2.434 Å, I = 95, (0 0 2); 38.6°, 2.335 Å, I = 100, (2 0 1); 53.9°, 1.700 Å, I = 32, (2 0 -1); 55.0°, 1.670 Å, I = 26, (2 0 3)

=====

2.
Diffraction record for Hg3Se2Br2. The powder diffractogram is computed, not measured: it uses a DFT-relaxed cell (GGA-PBE, the Materials Project) and Cu Ka.
Intensities are scaled so that the largest is 100.

Atomic structure:
```
data_Hg3Se2Br2
_cell_length_a 18.3526
_cell_length_b 9.6709
_cell_length_c 10.0744
_cell_angle_alpha 90.00
_cell_angle_beta 90.60
_cell_angle_gamma 90.00
_space_group_name_H-M_alt 'C 1 2/m 1'
_space_group_IT_number 12
loop_
_space_group_symop_operation_xyz
'x,y,z'
'-x,-y,-z'
'-x,y,-z'
'x,-y,z'
'x+1/2,y+1/2,z'
'-x+1/2,-y+1/2,-z'
'-x+1/2,y+1/2,-z'
'x+1/2,-y+1/2,z'
loop_
_atom_site_label
_atom_site_type_symbol
_atom_site_fract_x
_atom_site_fract_y
_atom_site_fract_z
Hg1 Hg 0.0000 0.2359 0.0000
Hg2 Hg 0.0244 0.5000 0.2709
Hg3 Hg 0.1231 0.2264 0.7020
Hg4 Hg 0.2307 0.0000 0.2873
Hg5 Hg 0.2500 0.2500 0.0000
Se1 Se 0.0153 0.2370 0.2531
Se2 Se 0.2379 0.2617 0.2531
Br1 Br 0.1222 0.0000 0.5087
Br2 Br 0.1217 0.5000 0.5269
Br3 Br 0.1241 0.5000 0.9896
Br4 Br 0.1255 0.0000 0.9760
```

Main lines, sorted by position (10 to 90 degrees two-theta):
26.5°, 3.358 Å, I = 65, (0 0 3); 32.1°, 2.787 Å, I = 100, (4 2 -2); 32.4°, 2.767 Å, I = 100, (4 2 2); 35.6°, 2.518 Å, I = 72, (0 0 4); 37.2°, 2.418 Å, I = 99, (0 4 0); 39.3°, 2.294 Å, I = 65, (8 0 0)

=====

3.
Diffraction record for PrYFe4. The powder diffractogram is computed, not measured: it uses a DFT-relaxed cell (GGA-PBE, the Materials Project) and Cu Ka.
Intensities are scaled so that the largest is 100.

Atomic structure:
```
data_PrYFe4
_cell_length_a 7.4078
_cell_length_b 7.4078
_cell_length_c 7.4078
_cell_angle_alpha 90.00
_cell_angle_beta 90.00
_cell_angle_gamma 90.00
_space_group_name_H-M_alt 'F -4 3 m'
_space_group_IT_number 216
_space_group_name_Hall 'F -4 2 3'
loop_
_atom_site_label
_atom_site_type_symbol
_atom_site_fract_x
_atom_site_fract_y
_atom_site_fract_z
Pr1 Pr 0.0000 0.0000 0.0000
Y1 Y 0.2500 0.2500 0.2500
Fe1 Fe 0.1250 0.1250 0.6250
```

Main lines, sorted by position (10 to 90 degrees two-theta):
34.2°, 2.619 Å, I = 53, (2 2 0); 40.4°, 2.234 Å, I = 100, (3 1 1); 42.3°, 2.138 Å, I = 21, (2 2 2); 61.3°, 1.512 Å, I = 19, (4 2 2); 65.5°, 1.426 Å, I = 30, (5 1 1); 72.1°, 1.310 Å, I = 22, (4 4 0)